(1)
CaCr2Cu2O8: calculated PXRD pattern (a wavelength of 1.5418 Å), based on the PBE+U geometry in the Materials Project.
Kinematic intensities with the Lorentz-polarization factor, no thermal factor.

Peak list (8 most intense, 2θ = 10–90°, by intensity)
- (0 0 4), 2θ = 28.98°, intensity 100.0
- (2 1 -1), 2θ = 29.35°, intensity 87.5
- (1 1 2), 2θ = 22.65°, intensity 52.6
- (0 3 1), 2θ = 31.78°, intensity 52.3
- (1 2 -3), 2θ = 32.43°, intensity 44.9
- (1 2 2), 2θ = 28.87°, intensity 42.4
- (2 1 1), 2θ = 30.06°, intensity 36.1
- (1 2 1), 2θ = 25.77°, intensity 31.3

Structure:
a b c (Å): 6.649 8.678 12.340
angles (deg): 90.00 93.03 90.00
Atoms (fractional coordinates):
Ca (0.128, 0.167, 0.457)
Ca (0.128, 0.333, 0.957)
Ca (0.872, 0.667, 0.043)
Ca (0.872, 0.833, 0.543)
Cr (0.100, 0.038, 0.155)
Cr (0.100, 0.462, 0.655)
Cr (0.394, 0.585, 0.136)
Cr (0.394, 0.915, 0.636)
Cr (0.606, 0.085, 0.364)
Cr (0.606, 0.415, 0.864)
Cr (0.900, 0.538, 0.345)
Cr (0.900, 0.962, 0.845)
Cu (0.239, 0.685, 0.857)
Cu (0.239, 0.815, 0.357)
Cu (0.392, 0.049, 0.871)
Cu (0.392, 0.451, 0.371)
Cu (0.608, 0.549, 0.629)
Cu (0.608, 0.951, 0.129)
Cu (0.761, 0.185, 0.643)
Cu (0.761, 0.315, 0.143)
O (0.024, 0.220, 0.119)
O (0.024, 0.280, 0.619)
O (0.088, 0.086, 0.887)
O (0.088, 0.414, 0.387)
O (0.129, 0.023, 0.291)
O (0.129, 0.477, 0.791)
O (0.199, 0.581, 0.039)
O (0.199, 0.919, 0.539)
O (0.320, 0.501, 0.600)
O (0.320, 0.624, 0.263)
O (0.320, 0.876, 0.763)
O (0.320, 0.999, 0.100)
O (0.441, 0.224, 0.399)
O (0.441, 0.276, 0.899)
O (0.497, 0.091, 0.635)
O (0.497, 0.409, 0.135)
O (0.503, 0.591, 0.865)
O (0.503, 0.909, 0.365)
O (0.559, 0.724, 0.101)
O (0.559, 0.776, 0.601)
O (0.680, 0.001, 0.900)
O (0.680, 0.124, 0.237)
O (0.680, 0.376, 0.737)
O (0.680, 0.499, 0.400)
O (0.801, 0.081, 0.461)
O (0.801, 0.419, 0.961)
O (0.871, 0.523, 0.209)
O (0.871, 0.977, 0.709)
O (0.912, 0.586, 0.613)
O (0.912, 0.914, 0.113)
O (0.976, 0.720, 0.381)
O (0.976, 0.780, 0.881)

(2)
CaMn6O5F7: calculated PXRD pattern (a wavelength of 1.5418 Å), based on the PBE+U geometry in the Materials Project.
Kinematic intensities with the Lorentz-polarization factor, no thermal factor.

Peak list (8 most intense, 2θ = 10–90°, by intensity)
- (1 1 -1), 2θ = 25.70°, intensity 100.0
- (0 1 -3), 2θ = 32.57°, intensity 39.5
- (1 -2 1), 2θ = 31.41°, intensity 29.1
- (-1 1 1), 2θ = 23.80°, intensity 27.5
- (1 0 3), 2θ = 41.66°, intensity 18.8
- (1 0 2), 2θ = 31.01°, intensity 18.5
- (-1 1 2), 2θ = 32.16°, intensity 18.0
- (2 0 -3), 2θ = 43.21°, intensity 16.3

Structure:
a b c (Å): 5.742 5.876 8.368
angles (deg): 108.43 95.54 106.46
Atoms (fractional coordinates):
Ca (0.000, 0.000, 0.000)
Mn (0.302, 0.224, 0.473)
Mn (0.307, 0.584, 0.921)
Mn (0.529, 0.743, 0.314)
Mn (0.615, 0.164, 0.753)
Mn (0.949, 0.476, 0.251)
Mn (0.973, 0.714, 0.618)
O (0.126, 0.465, 0.450)
O (0.206, 0.470, 0.127)
O (0.392, 0.356, 0.722)
O (0.496, 0.022, 0.509)
O (0.819, 0.965, 0.748)
F (0.257, 0.023, 0.224)
F (0.302, 0.904, 0.835)
F (0.650, 0.455, 0.379)
F (0.652, 0.825, 0.096)
F (0.706, 0.319, 0.030)
F (0.929, 0.539, 0.816)
F (0.951, 0.861, 0.401)

(3)
YMg6CrO8: calculated PXRD pattern (a wavelength of 1.5418 Å), based on the PBE+U geometry in the Materials Project.
Kinematic intensities with the Lorentz-polarization factor, no thermal factor.

Peak list (8 most intense, 2θ = 10–90°, by intensity)
- (2 0 0), 2θ = 40.97°, intensity 100.0
- (2 0 4), 2θ = 58.02°, intensity 59.5
- (0 0 4), 2θ = 39.24°, intensity 54.2
- (1 1 2), 2θ = 34.80°, intensity 46.5
- (1 0 0), 2θ = 20.16°, intensity 31.3
- (2 2 0), 2θ = 59.33°, intensity 29.2
- (1 0 2), 2θ = 28.07°, intensity 27.4
- (2 2 4), 2θ = 73.47°, intensity 26.6

Structure:
a b c (Å): 4.405 4.405 9.185
angles (deg): 90.00 90.00 90.00
Atoms (fractional coordinates):
Y (0.000, 0.000, 0.000)
Mg (0.000, 0.500, 0.268)
Mg (0.000, 0.500, 0.732)
Mg (0.500, 0.000, 0.268)
Mg (0.500, 0.000, 0.732)
Mg (0.500, 0.500, 0.000)
Mg (0.500, 0.500, 0.500)
Cr (0.000, 0.000, 0.500)
O (0.000, 0.000, 0.243)
O (0.000, 0.000, 0.757)
O (0.000, 0.500, 0.000)
O (0.000, 0.500, 0.500)
O (0.500, 0.000, 0.000)
O (0.500, 0.000, 0.500)
O (0.500, 0.500, 0.252)
O (0.500, 0.500, 0.748)